Calculated PXRD pattern of Th3Al4Co4 for Cu Kα (λ = 1.5418 Å), from DFT lattice parameters and positions (GGA-PBE).
No peak broadening, texture or thermal motion is included.

Cell: 3.772 7.482 14.011 Å, 90.00 90.00 90.00°
Space group Immm (No. 71)
One atom of each set of equivalent atoms:
Th1 0.000 0.000 0.000 (multiplicity 2)
Th2 0.000 0.500 0.118 (multiplicity 4)
Al1 0.000 0.311 0.322 (multiplicity 8)
Co1 0.000 0.000 0.234 (multiplicity 4)
Co2 0.000 0.228 0.500 (multiplicity 4)

Main lines, in order of rising 2θ (10 to 80 degrees two-theta):
| 2theta | I_rel |
| --- | --- |
| 22.44 | 42.3 |
| 23.78 | 41.9 |
| 24.44 | 33.8 |
| 34.17 | 44.2 |
| 34.36 | 98.1 |
| 37.03 | 100.0 |

=====

Calculated PXRD pattern of Th3Al7Co4 for Cu Kα (λ = 1.5418 Å), from DFT lattice parameters and positions (GGA-PBE).
No peak broadening, texture or thermal motion is included.

Cell: 15.248 4.124 9.426 Å, 90.00 123.47 90.00°
Space group C2/m (No. 12)
One atom of each set of equivalent atoms:
Th1 0.000 0.000 0.000 (multiplicity 2)
Th2 0.194 0.500 0.706 (multiplicity 4)
Al1 0.000 0.000 0.500 (multiplicity 2)
Al2 0.011 0.500 0.291 (multiplicity 4)
Al3 0.159 0.000 0.424 (multiplicity 4)
Al4 0.177 0.500 0.016 (multiplicity 4)
Co1 0.109 0.000 0.837 (multiplicity 4)
Co2 0.166 0.500 0.280 (multiplicity 4)

Main lines, in order of rising 2θ (10 to 80 degrees two-theta):
| 2theta | I_rel |
| --- | --- |
| 18.89 | 68.1 |
| 23.56 | 100.0 |
| 30.23 | 91.3 |
| 34.95 | 79.2 |
| 36.01 | 85.1 |
| 36.81 | 91.5 |

=====

Calculated PXRD pattern of Ti2AlCo for Cu Kα (λ = 1.5418 Å), from DFT lattice parameters and positions (GGA-PBE).
No peak broadening, texture or thermal motion is included.

Cell: 2.925 10.176 8.032 Å, 90.00 90.00 90.00°
Space group Cmcm (No. 63)
One atom of each set of equivalent atoms:
Ti1 0.000 0.133 0.051 (multiplicity 8)
Al1 0.000 0.441 0.250 (multiplicity 4)
Co1 0.000 0.269 0.750 (multiplicity 4)

Main lines, in order of rising 2θ (10 to 80 degrees two-theta):
| 2theta | I_rel |
| --- | --- |
| 17.43 | 51.4 |
| 39.11 | 71.3 |
| 42.04 | 71.6 |
| 42.32 | 82.1 |
| 46.85 | 100.0 |
| 72.68 | 44.8 |

=====

Calculated PXRD pattern of Ti2Al6Co for Cu Kα (λ = 1.5418 Å), from DFT lattice parameters and positions (GGA-PBE).
No peak broadening, texture or thermal motion is included.

Cell: 6.101 11.317 4.113 Å, 90.00 90.00 90.00°
Space group Cmmm (No. 65)
One atom of each set of equivalent atoms:
Ti1 0.000 0.231 0.000 (multiplicity 4)
Al1 0.216 0.359 0.500 (multiplicity 8)
Al2 0.232 0.000 0.000 (multiplicity 4)
Co1 0.000 0.000 0.500 (multiplicity 2)

Main lines, in order of rising 2θ (10 to 80 degrees two-theta):
| 2theta | I_rel |
| --- | --- |
| 16.51 | 40.8 |
| 35.49 | 33.4 |
| 38.63 | 33.7 |
| 40.10 | 100.0 |
| 43.63 | 25.6 |
| 44.03 | 37.5 |

=====

Calculated PXRD pattern of Ti8Al2Co for Cu Kα (λ = 1.5418 Å), from DFT lattice parameters and positions (GGA-PBE).
No peak broadening, texture or thermal motion is included.

Cell: 4.524 6.038 13.132 Å, 90.00 90.00 90.00°
Space group Immm (No. 71)
One atom of each set of equivalent atoms:
Ti1 0.000 0.000 0.179 (multiplicity 4)
Ti2 0.000 0.233 0.367 (multiplicity 8)
Ti3 0.000 0.264 0.000 (multiplicity 4)
Al1 0.000 0.500 0.189 (multiplicity 4)
Co1 0.000 0.500 0.500 (multiplicity 2)

Main lines, in order of rising 2θ (10 to 80 degrees two-theta):
| 2theta | I_rel |
| --- | --- |
| 28.15 | 13.3 |
| 39.68 | 18.9 |
| 39.86 | 34.9 |
| 41.25 | 14.1 |
| 41.46 | 100.0 |
| 73.45 | 15.8 |

=====

Calculated PXRD pattern of Ti8Al4Co3 for Cu Kα (λ = 1.5418 Å), from DFT lattice parameters and positions (GGA-PBE).
No peak broadening, texture or thermal motion is included.

Cell: 4.006 4.006 14.325 Å, 90.00 90.00 90.00°
Space group P-4m2 (No. 115)
One atom of each set of equivalent atoms:
Ti1 0.000 0.000 0.245 (multiplicity 2)
Ti2 0.000 0.500 0.395 (multiplicity 2)
Ti3 0.000 0.500 0.909 (multiplicity 2)
Ti4 0.500 0.500 0.250 (multiplicity 2)
Al1 0.000 0.500 0.106 (multiplicity 2)
Al2 0.000 0.500 0.610 (multiplicity 2)
Co1 0.000 0.000 0.000 (multiplicity 1)
Co2 0.000 0.000 0.500 (multiplicity 1)
Co3 0.500 0.500 0.500 (multiplicity 1)

Main lines, in order of rising 2θ (10 to 80 degrees two-theta):
| 2theta | I_rel |
| --- | --- |
| 12.36 | 8.2 |
| 25.47 | 8.8 |
| 40.61 | 100.0 |
| 45.27 | 42.4 |
| 65.95 | 12.5 |
| 70.54 | 10.4 |

=====

Calculated PXRD pattern of AlTlCo2 for Cu Kα (λ = 1.5418 Å), from DFT lattice parameters and positions (GGA-PBE).
No peak broadening, texture or thermal motion is included.

Cell: 4.169 4.169 3.233 Å, 90.00 90.00 90.00°
Space group P4/mmm (No. 123)
One atom of each set of equivalent atoms:
Al1 0.000 0.000 0.000 (multiplicity 1)
Tl1 0.500 0.500 0.000 (multiplicity 1)
Co1 0.000 0.500 0.500 (multiplicity 2)

Main lines, in order of rising 2θ (10 to 80 degrees two-theta):
| 2theta | I_rel |
| --- | --- |
| 21.31 | 65.4 |
| 35.12 | 38.2 |
| 41.45 | 100.0 |
| 43.41 | 43.8 |
| 57.00 | 29.3 |
| 78.31 | 37.8 |

=====

Calculated PXRD pattern of Tm2Al2Co15 for Cu Kα (λ = 1.5418 Å), from DFT lattice parameters and positions (GGA-PBE).
No peak broadening, texture or thermal motion is included.

Cell: 8.2923 8.2923 12.2033 Å, 90.00 90.00 120.00°
Space group R-3m (No. 166, hexagonal axes)
One atom of each set of equivalent atoms:
Tm1 0.0000 0.0000 0.1474 (multiplicity 6)
Al1 0.0000 0.0000 0.3938 (multiplicity 6)
Co1 0.0000 0.2882 0.5000 (multiplicity 18)
Co2 0.0000 0.5000 0.0000 (multiplicity 9)
Co3 0.0014 0.5007 0.6484 (multiplicity 18)

Main lines, in order of rising 2θ (10 to 80 degrees two-theta):
| 2theta | I_rel |
| --- | --- |
| 30.79 | 42.0 |
| 37.57 | 32.9 |
| 38.73 | 38.1 |
| 43.66 | 56.4 |
| 43.88 | 100.0 |
| 44.55 | 31.1 |

=====

Calculated PXRD pattern of Tm3Al2Co7 for Cu Kα (λ = 1.5418 Å), from DFT lattice parameters and positions (GGA-PBE).
No peak broadening, texture or thermal motion is included.

Cell: 5.1136 5.1136 23.2686 Å, 90.00 90.00 120.00°
Space group R-3m (No. 166, hexagonal axes)
One atom of each set of equivalent atoms:
Tm1 0.0000 0.0000 0.0000 (multiplicity 3)
Tm2 0.0000 0.0000 0.1401 (multiplicity 6)
Al1 0.0000 0.0000 0.3337 (multiplicity 6)
Co1 0.0000 0.0000 0.5000 (multiplicity 3)
Co2 0.0009 0.5005 0.9163 (multiplicity 18)

Main lines, in order of rising 2θ (10 to 80 degrees two-theta):
| 2theta | I_rel |
| --- | --- |
| 20.41 | 30.5 |
| 33.71 | 72.5 |
| 35.10 | 59.7 |
| 36.98 | 62.3 |
| 40.94 | 60.0 |
| 42.34 | 100.0 |

=====

Calculated PXRD pattern of Tm6AlCo for Cu Kα (λ = 1.5418 Å), from DFT lattice parameters and positions (GGA-PBE).
No peak broadening, texture or thermal motion is included.

Cell: 7.581 9.792 6.171 Å, 90.00 103.54 90.00°
Space group C2/m (No. 12)
One atom of each set of equivalent atoms:
Tm1 0.121 0.184 0.285 (multiplicity 8)
Tm2 0.216 0.500 0.138 (multiplicity 4)
Al1 0.000 0.500 0.500 (multiplicity 2)
Co1 0.000 0.000 0.000 (multiplicity 2)

Main lines, in order of rising 2θ (10 to 80 degrees two-theta):
| 2theta | I_rel |
| --- | --- |
| 25.23 | 44.6 |
| 29.94 | 40.8 |
| 30.82 | 44.2 |
| 31.29 | 100.0 |
| 34.82 | 76.0 |
| 37.30 | 40.8 |

=====

Calculated PXRD pattern of Tm3AlCo3 for Cu Kα (λ = 1.5418 Å), from DFT lattice parameters and positions (GGA-PBE).
No peak broadening, texture or thermal motion is included.

Cell: 3.999 9.935 12.816 Å, 90.00 90.00 90.00°
Space group Cmcm (No. 63)
One atom of each set of equivalent atoms:
Tm1 0.000 0.008 0.250 (multiplicity 4)
Tm2 0.000 0.294 0.105 (multiplicity 8)
Al1 0.000 0.000 0.000 (multiplicity 4)
Co1 0.000 0.291 0.750 (multiplicity 4)
Co2 0.000 0.416 0.594 (multiplicity 8)

Main lines, in order of rising 2θ (10 to 80 degrees two-theta):
| 2theta | I_rel |
| --- | --- |
| 27.79 | 61.4 |
| 31.95 | 90.2 |
| 33.27 | 58.9 |
| 35.19 | 100.0 |
| 37.08 | 83.0 |
| 41.22 | 86.9 |

=====

Calculated PXRD pattern of U3Al12Co4 for Cu Kα (λ = 1.5418 Å), from DFT lattice parameters and positions (GGA-PBE).
No peak broadening, texture or thermal motion is included.

Cell: 8.6123 8.6123 9.3282 Å, 90.00 90.00 120.00°
Space group P6_3/mmc (No. 194)
One atom of each set of equivalent atoms:
U1 0.2076 0.4152 0.2500 (multiplicity 6)
Al1 0.0000 0.0000 0.2500 (multiplicity 2)
Al2 0.1194 0.5597 0.7500 (multiplicity 6)
Al3 0.1594 0.3187 0.5788 (multiplicity 12)
Al4 0.3333 0.6667 0.0044 (multiplicity 4)
Co1 0.0000 0.0000 0.0000 (multiplicity 2)
Co2 0.0000 0.5000 0.0000 (multiplicity 6)

Main lines, in order of rising 2θ (10 to 80 degrees two-theta):
| 2theta | I_rel |
| --- | --- |
| 15.21 | 100.0 |
| 25.73 | 60.4 |
| 30.70 | 43.9 |
| 37.27 | 62.0 |
| 37.44 | 67.0 |
| 37.67 | 56.6 |